1.
Mo3WSe4S4: calculated XRD peak list (Cu Kα X-rays), based on DFT lattice parameters and positions (GGA-PBE).

Peak list (10 most intense, 2θ from 15° to 90°, low angle first)
index, d [Å], I_rel
1 0 0, 2.816, 55
1 0 5, 2.634, 22
1 0 8, 2.408, 100
1 0 10, 2.244, 14
0 1 13, 2.005, 62
1 0 14, 1.930, 20
1 1 0, 1.626, 32
1 1 5, 1.589, 15
0 2 8, 1.348, 15
1 1 21, 1.197, 16

Cell and atoms:
```
data_Mo3WSe4S4
_chemical_formula_sum 'Mo3 W1 Se4 S4'
_space_group_name_H-M_alt 'P 3 m 1'
_space_group_IT_number 156
_space_group_name_Hall 'P 3 -2"'
_cell_length_a 3.2534
_cell_length_b 3.2534
_cell_length_c 37.0979
_cell_angle_alpha 90.00
_cell_angle_beta 90.00
_cell_angle_gamma 120.00
loop_
_atom_site_label
_atom_site_fract_x
_atom_site_fract_y
_atom_site_fract_z
Mo1 0.0000 0.0000 0.0000
Mo2 0.0000 0.0000 0.3757
Mo3 0.3333 0.6667 0.1879
W1 0.3333 0.6667 0.5636
Se1 0.3333 0.6667 0.0458
Se2 0.3333 0.6667 0.3300
Se3 0.3333 0.6667 0.4215
Se4 0.3333 0.6667 0.9542
S1 0.0000 0.0000 0.1462
S2 0.0000 0.0000 0.2295
S3 0.0000 0.0000 0.5218
S4 0.0000 0.0000 0.6054
```

---

2.
Zn4CdSe4S: calculated XRD peak list (Cu Kα X-rays), based on DFT lattice parameters and positions (GGA-PBE).

Peak list (10 most intense, 2θ from 15° to 90°, low angle first)
index, d [Å], I_rel
0 5 1, 3.338, 100
2 0 0, 2.045, 61
0 10 0, 2.039, 12
1 0 3, 1.744, 30
1 10 1, 1.740, 14
2 10 0, 1.444, 8
1 10 3, 1.327, 14
3 5 2, 1.181, 11
1 15 2, 1.178, 7
0 5 5, 1.114, 5

Cell and atoms:
```
data_Zn4CdSe4S
_chemical_formula_sum 'Zn8 Cd2 Se8 S2'
_space_group_name_H-M_alt 'I m m 2'
_space_group_IT_number 44
_space_group_name_Hall 'I 2 -2'
_cell_length_a 4.091
_cell_length_b 20.386
_cell_length_c 5.791
_cell_angle_alpha 90.00
_cell_angle_beta 90.00
_cell_angle_gamma 90.00
loop_
_atom_site_label
_atom_site_fract_x
_atom_site_fract_y
_atom_site_fract_z
Zn1 0.000 0.099 0.000
Zn2 0.000 0.299 0.007
Cd1 0.000 0.500 0.018
Se1 0.000 0.199 0.753
Se2 0.000 0.395 0.745
S1 0.000 0.000 0.787
```

---

3.
LiI: calculated XRD peak list (Cu Kα X-rays), based on DFT lattice parameters and positions (GGA-PBE).

Peak list (10 most intense, 2θ from 15° to 90°, low angle first)
index, d [Å], I_rel
1 0 0, 3.676, 19
0 0 2, 3.489, 24
1 0 1, 3.253, 100
1 0 2, 2.531, 20
1 1 0, 2.123, 22
1 0 3, 1.966, 24
1 1 2, 1.813, 22
2 0 1, 1.778, 17
2 1 1, 1.363, 14
1 1 4, 1.348, 10

Cell and atoms:
```
data_LiI
_chemical_formula_sum 'Li2 I2'
_space_group_name_H-M_alt 'P 63/m m c'
_space_group_IT_number 194
_space_group_name_Hall '-P 6c 2c'
_cell_length_a 4.2451
_cell_length_b 4.2451
_cell_length_c 6.9786
_cell_angle_alpha 90.00
_cell_angle_beta 90.00
_cell_angle_gamma 120.00
loop_
_atom_site_label
_atom_site_fract_x
_atom_site_fract_y
_atom_site_fract_z
Li1 0.0000 0.0000 0.0000
I1 0.3333 0.6667 0.2500
```

---

4.
InN3F6: calculated XRD peak list (Cu Kα X-rays), based on DFT lattice parameters and positions (GGA-PBE).

Peak list (10 most intense, 2θ from 15° to 90°, low angle first)
index, d [Å], I_rel
1 1 1, 4.589, 66
2 0 0, 3.974, 100
2 2 0, 2.810, 57
3 1 1, 2.397, 58
4 0 0, 1.987, 48
3 3 1, 1.824, 34
4 2 0, 1.777, 37
4 2 2, 1.623, 19
4 4 0, 1.405, 24
6 0 0, 1.325, 16

Cell and atoms:
```
data_InN3F6
_chemical_formula_sum 'In4 N12 F24'
_space_group_name_H-M_alt 'F m -3 m'
_space_group_IT_number 225
_space_group_name_Hall '-F 4 2 3'
_cell_length_a 7.949
_cell_length_b 7.949
_cell_length_c 7.949
_cell_angle_alpha 90.00
_cell_angle_beta 90.00
_cell_angle_gamma 90.00
loop_
_atom_site_label
_atom_site_fract_x
_atom_site_fract_y
_atom_site_fract_z
In1 0.000 0.000 0.000
N1 0.000 0.000 0.500
N2 0.250 0.250 0.250
F1 0.000 0.000 0.269
```

---

5.
LaMgTl: calculated XRD peak list (Cu Kα X-rays), based on DFT lattice parameters and positions (GGA-PBE).

Peak list (10 most intense, 2θ from 15° to 90°, low angle first)
index, d [Å], I_rel
1 1 1, 4.143, 8
2 0 0, 3.588, 91
2 2 0, 2.537, 100
2 2 2, 2.071, 27
4 0 0, 1.794, 18
4 2 0, 1.604, 37
4 2 2, 1.465, 37
4 4 0, 1.268, 11
6 0 0, 1.196, 18
6 2 0, 1.134, 16

Cell and atoms:
```
data_LaMgTl
_chemical_formula_sum 'La4 Mg4 Tl4'
_space_group_name_H-M_alt 'F -4 3 m'
_space_group_IT_number 216
_space_group_name_Hall 'F -4 2 3'
_cell_length_a 7.175
_cell_length_b 7.175
_cell_length_c 7.175
_cell_angle_alpha 90.00
_cell_angle_beta 90.00
_cell_angle_gamma 90.00
loop_
_atom_site_label
_atom_site_fract_x
_atom_site_fract_y
_atom_site_fract_z
La1 0.000 0.000 0.000
Mg1 0.250 0.250 0.250
Tl1 0.000 0.000 0.500
```

---

6.
Ba3Ce2O6: calculated XRD peak list (Cu Kα X-rays), based on DFT lattice parameters and positions (GGA-PBE).

Peak list (10 most intense, 2θ from 15° to 90°, low angle first)
index, d [Å], I_rel
1 1 0, 3.202, 57
1 0 5, 3.155, 100
2 0 0, 2.264, 32
0 0 10, 2.200, 10
2 1 5, 1.839, 43
1 1 10, 1.813, 16
2 2 0, 1.601, 10
2 0 10, 1.578, 13
3 1 0, 1.432, 11
3 2 5, 1.208, 11

Cell and atoms:
```
data_Ba3Ce2O6
_chemical_formula_sum 'Ba6 Ce4 O12'
_space_group_name_H-M_alt 'I 4/m m m'
_space_group_IT_number 139
_space_group_name_Hall '-I 4 2'
_cell_length_a 4.528
_cell_length_b 4.528
_cell_length_c 21.998
_cell_angle_alpha 90.00
_cell_angle_beta 90.00
_cell_angle_gamma 90.00
loop_
_atom_site_label
_atom_site_fract_x
_atom_site_fract_y
_atom_site_fract_z
Ba1 0.000 0.000 0.000
Ba2 0.000 0.000 0.184
Ce1 0.000 0.000 0.400
O1 0.000 0.000 0.299
O2 0.000 0.500 0.087
```

---

7.
Nb2FeSe4: calculated XRD peak list (Cu Kα X-rays), based on DFT lattice parameters and positions (GGA-PBE).

Peak list (10 most intense, 2θ from 15° to 90°, low angle first)
index, d [Å], I_rel
2 2 1, 3.039, 53
2 2 2, 2.800, 37
0 4 3, 2.504, 72
3 1 1, 2.327, 14
2 2 4, 2.212, 100
2 4 3, 2.059, 19
4 0 0, 1.809, 62
4 4 3, 1.466, 14
0 8 4, 1.400, 18
4 0 8, 1.182, 25

Cell and atoms:
```
data_Nb2FeSe4
_chemical_formula_sum 'Nb16 Fe8 Se32'
_space_group_name_H-M_alt 'C m c m'
_space_group_IT_number 63
_space_group_name_Hall '-C 2c 2'
_cell_length_a 7.237
_cell_length_b 12.526
_cell_length_c 12.495
_cell_angle_alpha 90.00
_cell_angle_beta 90.00
_cell_angle_gamma 90.00
loop_
_atom_site_label
_atom_site_fract_x
_atom_site_fract_y
_atom_site_fract_z
Nb1 0.000 0.000 0.250
Nb2 0.000 0.474 0.250
Nb3 0.211 0.263 0.250
Fe1 0.000 0.000 0.000
Fe2 0.000 0.334 0.750
Se1 0.000 0.169 0.622
Se2 0.000 0.333 0.100
Se3 0.247 0.416 0.622
```